1.
The following is a calculated powder XRD pattern of Ca2CeHfSb4. It was derived from a DFT-relaxed cell (GGA-PBE, Alexandria), using a wavelength of 1.5418 Å.
Intensities are scaled so that the largest is 1000.

Principal peaks in the range 15 to 90 degrees two-theta, low angle first:
2theta	I/Imax
23.8	89
28.6	1000
37.2	88
40.6	369
41.3	369
51.0	193
59.3	78
66.7	101
67.6	159
74.8	114

Atomic structure:
Cell lengths 7.5719, 4.3757, 7.7313 Å; angles 90.00, 108.96, 90.00 degrees
Positions (direct):
Ca 0.0000 0.0000 0.0000
Ca 0.5000 0.5000 0.0000
Ce 0.0000 0.5000 0.5000
Hf 0.5000 0.0000 0.5000
Sb 0.2587 0.0000 0.7339
Sb 0.2703 0.5000 0.2732
Sb 0.7297 0.5000 0.7268
Sb 0.7413 0.0000 0.2661

2.
The following is a calculated powder XRD pattern of CaCeHg5. It was derived from a DFT-relaxed cell (GGA-PBE, Alexandria), using a wavelength of 1.5418 Å.
Intensities are scaled so that the largest is 1000.

Principal peaks in the range 15 to 90 degrees two-theta, low angle first:
2theta	I/Imax
19.6	110
28.7	131
33.5	1000
38.5	349
39.7	153
55.6	121
56.5	231
66.5	282
68.1	119
70.4	115

Atomic structure:
Cell lengths 4.6769, 4.6769, 9.0810 Å; angles 90.00, 90.00, 90.00 degrees
Positions (direct):
Ca 0.0000 0.0000 0.0000
Ce 0.5000 0.5000 0.5000
Hg 0.0000 0.0000 0.5000
Hg 0.0000 0.5000 0.2396
Hg 0.0000 0.5000 0.7604
Hg 0.5000 0.0000 0.2396
Hg 0.5000 0.0000 0.7604

3.
The following is a calculated powder XRD pattern of CaCe2Hg6. It was derived from a DFT-relaxed cell (GGA-PBE, Alexandria), using a wavelength of 1.5418 Å.
Intensities are scaled so that the largest is 1000.

Principal peaks in the range 15 to 90 degrees two-theta, low angle first:
2theta	I/Imax
25.9	246
33.1	880
35.4	1000
44.4	365
49.2	290
62.1	289
63.6	185
65.5	340
84.4	137
87.5	164

Atomic structure:
Cell lengths 8.7761, 8.7761, 3.4443 Å; angles 90.00, 90.00, 120.00 degrees
Positions (direct):
Ca 0.0000 0.0000 0.0000
Ce 0.3333 0.6667 0.0000
Ce 0.6667 0.3333 0.0000
Hg 0.0000 0.3316 0.5000
Hg 0.0000 0.6684 0.5000
Hg 0.3316 0.0000 0.5000
Hg 0.3316 0.3316 0.5000
Hg 0.6684 0.0000 0.5000
Hg 0.6684 0.6684 0.5000

4.
The following is a calculated powder XRD pattern of Ca2CeHg5. It was derived from a DFT-relaxed cell (GGA-PBE, Alexandria), using a wavelength of 1.5418 Å.
Intensities are scaled so that the largest is 1000.

Principal peaks in the range 15 to 90 degrees two-theta, low angle first:
2theta	I/Imax
23.7	112
26.6	53
33.8	1000
35.9	31
41.7	37
48.6	182
54.8	53
60.5	376
71.1	117
81.1	166

Atomic structure:
Cell lengths 8.3808, 8.3808, 8.3808 Å; angles 143.12, 143.12, 53.15 degrees
Positions (direct):
Ca 0.2378 0.2378 0.0000
Ca 0.7622 0.7622 0.0000
Ce 0.5000 0.5000 0.0000
Hg 0.0000 0.0000 0.0000
Hg 0.1251 0.6251 0.5000
Hg 0.3749 0.8749 0.5000
Hg 0.6251 0.1251 0.5000
Hg 0.8749 0.3749 0.5000

5.
The following is a calculated powder XRD pattern of CaCeHo2S4. It was derived from a DFT-relaxed cell (GGA-PBE, Alexandria), using a wavelength of 1.5418 Å.
Intensities are scaled so that the largest is 1000.

Principal peaks in the range 15 to 90 degrees two-theta, low angle first:
2theta	I/Imax
27.5	165
27.6	164
27.7	322
32.0	1000
45.6	120
45.8	240
46.0	236
46.2	117
54.5	133
57.3	121

Atomic structure:
Cell lengths 6.8444, 3.9324, 6.8787 Å; angles 90.00, 109.20, 90.00 degrees
Positions (direct):
Ca 0.0000 0.0000 0.0000
Ce 0.0000 0.5000 0.5000
Ho 0.5000 0.0000 0.5000
Ho 0.5000 0.5000 0.0000
S 0.2586 0.5000 0.2500
S 0.2605 0.0000 0.7574
S 0.7395 0.0000 0.2426
S 0.7414 0.5000 0.7500

6.
The following is a calculated powder XRD pattern of CaCeI6. It was derived from a DFT-relaxed cell (GGA-PBE, Alexandria), using a wavelength of 1.5418 Å.
Intensities are scaled so that the largest is 1000.

Principal peaks in the range 15 to 90 degrees two-theta, low angle first:
2theta	I/Imax
15.6	236
23.8	533
24.5	517
27.5	1000
28.9	457
38.2	194
40.2	543
40.3	355
46.0	145
48.6	214

Atomic structure:
Cell lengths 8.0314, 8.0314, 7.6217 Å; angles 98.51, 98.51, 123.11 degrees
Positions (direct):
Ca 0.0000 0.0000 0.0000
Ce 0.5000 0.5000 0.5000
I 0.1077 0.4099 0.2541
I 0.2538 0.2538 0.7402
I 0.4099 0.1077 0.2541
I 0.5901 0.8923 0.7459
I 0.7462 0.7462 0.2598
I 0.8923 0.5901 0.7459

7.
The following is a calculated powder XRD pattern of CaCe2I6. It was derived from a DFT-relaxed cell (GGA-PBE, Alexandria), using a wavelength of 1.5418 Å.
Intensities are scaled so that the largest is 1000.

Principal peaks in the range 15 to 90 degrees two-theta, low angle first:
2theta	I/Imax
22.4	110
25.6	416
26.0	1000
32.3	139
32.6	309
32.7	263
40.8	281
41.3	170
41.6	345
49.3	160

Atomic structure:
Cell lengths 9.0510, 9.0510, 11.0926 Å; angles 109.45, 109.45, 27.95 degrees
Positions (direct):
Ca 0.0000 0.0000 0.0000
Ce 0.3166 0.3166 0.6394
Ce 0.6834 0.6834 0.3606
I 0.0366 0.0366 0.2997
I 0.3158 0.3158 0.3503
I 0.3654 0.3654 0.9574
I 0.6346 0.6346 0.0426
I 0.6842 0.6842 0.6497
I 0.9634 0.9634 0.7003

8.
The following is a calculated powder XRD pattern of CaCeI6. It was derived from a DFT-relaxed cell (GGA-PBE, Alexandria), using a wavelength of 1.5418 Å.
Intensities are scaled so that the largest is 1000.

Principal peaks in the range 15 to 90 degrees two-theta, low angle first:
2theta	I/Imax
15.7	157
25.3	140
26.3	1000
34.5	353
40.5	311
45.2	229
48.3	136
48.9	174
65.3	142
67.8	132

Atomic structure:
Cell lengths 8.3333, 8.3333, 8.3333 Å; angles 55.21, 55.21, 55.21 degrees
Positions (direct):
Ca 0.0000 0.0000 0.0000
Ce 0.5000 0.5000 0.5000
I 0.0948 0.7396 0.4177
I 0.2604 0.5823 0.9052
I 0.4177 0.0948 0.7396
I 0.5823 0.9052 0.2604
I 0.7396 0.4177 0.0948
I 0.9052 0.2604 0.5823

9.
The following is a calculated powder XRD pattern of CaTb2CeIn4. It was derived from a DFT-relaxed cell (GGA-PBE, Alexandria), using a wavelength of 1.5418 Å.
Intensities are scaled so that the largest is 1000.

Principal peaks in the range 15 to 90 degrees two-theta, low angle first:
2theta	I/Imax
33.0	1000
33.3	981
47.6	354
58.8	184
59.3	361
59.5	180
69.3	111
69.9	110
79.1	154
79.6	153

Atomic structure:
Cell lengths 9.4230, 9.4230, 9.4230 Å; angles 33.17, 33.17, 33.17 degrees
Positions (direct):
Ca 0.0000 0.0000 0.0000
Tb 0.2522 0.2522 0.2522
Tb 0.7478 0.7478 0.7478
Ce 0.5000 0.5000 0.5000
In 0.1250 0.1250 0.1250
In 0.3751 0.3751 0.3751
In 0.6249 0.6249 0.6249
In 0.8750 0.8750 0.8750

10.
The following is a calculated powder XRD pattern of CaLaCePr. It was derived from a DFT-relaxed cell (GGA-PBE, Alexandria), using a wavelength of 1.5418 Å.
Intensities are scaled so that the largest is 1000.

Principal peaks in the range 15 to 90 degrees two-theta, low angle first:
2theta	I/Imax
18.3	96
21.2	52
30.2	1000
35.6	57
43.2	186
53.6	392
62.8	121
71.2	165
79.3	41
87.1	198

Atomic structure:
Cell lengths 5.9217, 5.9217, 5.9217 Å; angles 60.00, 60.00, 60.00 degrees
Positions (direct):
Ca 0.0000 0.0000 0.0000
La 0.7500 0.7500 0.7500
Ce 0.5000 0.5000 0.5000
Pr 0.2500 0.2500 0.2500

11.
The following is a calculated powder XRD pattern of CaLa2CeSe4. It was derived from a DFT-relaxed cell (GGA-PBE, Alexandria), using a wavelength of 1.5418 Å.
Intensities are scaled so that the largest is 1000.

Principal peaks in the range 15 to 90 degrees two-theta, low angle first:
2theta	I/Imax
29.6	1000
42.2	125
42.4	494
42.6	123
52.3	66
52.7	130
61.5	120
69.7	111
69.8	108
77.8	81

Atomic structure:
Cell lengths 7.3870, 4.2442, 7.4093 Å; angles 90.00, 109.22, 90.00 degrees
Positions (direct):
Ca 0.0000 0.0000 0.0000
La 0.5000 0.0000 0.5000
La 0.5000 0.5000 0.0000
Ce 0.0000 0.5000 0.5000
Se 0.2394 0.5000 0.2439
Se 0.2409 0.0000 0.7503
Se 0.7591 0.0000 0.2497
Se 0.7606 0.5000 0.7561

12.
The following is a calculated powder XRD pattern of LiCaCeN2. It was derived from a DFT-relaxed cell (GGA-PBE, Alexandria), using a wavelength of 1.5418 Å.
Intensities are scaled so that the largest is 1000.

Principal peaks in the range 15 to 90 degrees two-theta, low angle first:
2theta	I/Imax
27.6	441
27.9	225
31.0	1000
39.7	422
48.8	259
51.0	107
51.4	270
57.2	180
59.0	160
80.0	132

Atomic structure:
Cell lengths 3.7314, 3.7314, 6.3897 Å; angles 90.00, 90.00, 120.00 degrees
Positions (direct):
Li 0.0000 0.0000 0.0000
Ca 0.3333 0.6667 0.7451
Ce 0.6667 0.3333 0.3154
N 0.0000 0.0000 0.4684
N 0.6667 0.3333 0.9529

13.
The following is a calculated powder XRD pattern of Li2CaCePb2. It was derived from a DFT-relaxed cell (GGA-PBE, Alexandria), using a wavelength of 1.5418 Å.
Intensities are scaled so that the largest is 1000.

Principal peaks in the range 15 to 90 degrees two-theta, low angle first:
2theta	I/Imax
24.1	1000
31.7	658
36.9	508
41.6	268
44.5	205
49.4	191
59.1	180
61.9	185
63.2	182
69.6	122

Atomic structure:
Cell lengths 4.8781, 4.8781, 7.5996 Å; angles 90.00, 90.00, 120.00 degrees
Positions (direct):
Li 0.3333 0.6667 0.2425
Li 0.6667 0.3333 0.7575
Ca 0.0000 0.0000 0.0000
Ce 0.0000 0.0000 0.5000
Pb 0.3333 0.6667 0.7287
Pb 0.6667 0.3333 0.2713

14.
The following is a calculated powder XRD pattern of CaCeMg6. It was derived from a DFT-relaxed cell (GGA-PBE, Alexandria), using a wavelength of 1.5418 Å.
Intensities are scaled so that the largest is 1000.

Principal peaks in the range 15 to 90 degrees two-theta, low angle first:
2theta	I/Imax
18.5	306
19.1	141
23.2	182
26.7	252
32.6	1000
35.3	141
37.4	342
38.8	155
55.0	216
64.5	261

Atomic structure:
Cell lengths 6.7966, 6.7966, 4.6462 Å; angles 90.00, 90.00, 90.00 degrees
Positions (direct):
Ca 0.0000 0.0000 0.0000
Ce 0.5000 0.5000 0.0000
Mg 0.0000 0.5000 0.0000
Mg 0.2538 0.2538 0.5000
Mg 0.2538 0.7462 0.5000
Mg 0.5000 0.0000 0.0000
Mg 0.7462 0.2538 0.5000
Mg 0.7462 0.7462 0.5000

15.
The following is a calculated powder XRD pattern of Ca2CeMg9. It was derived from a DFT-relaxed cell (GGA-PBE, Alexandria), using a wavelength of 1.5418 Å.
Intensities are scaled so that the largest is 1000.

Principal peaks in the range 15 to 90 degrees two-theta, low angle first:
2theta	I/Imax
17.0	213
17.7	178
22.4	148
26.9	424
29.1	401
29.3	314
33.9	322
34.4	1000
55.1	305
60.4	156

Atomic structure:
Cell lengths 10.5357, 10.5357, 10.5357 Å; angles 33.84, 33.84, 33.84 degrees
Positions (direct):
Ca 0.1423 0.1423 0.1423
Ca 0.8577 0.8577 0.8577
Ce 0.0000 0.0000 0.0000
Mg 0.0801 0.5842 0.5842
Mg 0.3337 0.3337 0.3337
Mg 0.4158 0.4158 0.9199
Mg 0.4158 0.9199 0.4158
Mg 0.5000 0.5000 0.5000
Mg 0.5842 0.0801 0.5842
Mg 0.5842 0.5842 0.0801
Mg 0.6663 0.6663 0.6663
Mg 0.9199 0.4158 0.4158